For Li6MgAg10, DFT lattice parameters and positions (PBE) gives the calculated PXRD pattern in this record (a wavelength of 1.5418 Å).
No peak broadening, texture or thermal motion is included.

```
data_Li6MgAg10
_chemical_formula_sum 'Li6 Mg1 Ag10'
_symmetry_space_group_name_H-M 'P 1'
_symmetry_Int_Tables_number 1
_cell_length_a 7.710
_cell_length_b 7.710
_cell_length_c 5.624
_cell_angle_alpha 90.00
_cell_angle_beta 90.00
_cell_angle_gamma 120.00
loop_
_symmetry_equiv_pos_as_xyz
'x,y,z'
loop_
_atom_site_label
_atom_site_type_symbol
_atom_site_fract_x
_atom_site_fract_y
_atom_site_fract_z
_atom_site_occupancy
Li1 Li 0.000 0.373 0.301 1
Li2 Li 0.000 0.627 0.699 1
Li3 Li 0.373 0.000 0.301 1
Li4 Li 0.373 0.373 0.699 1
Li5 Li 0.627 0.000 0.699 1
Li6 Li 0.627 0.627 0.301 1
Mg1 Mg 0.000 0.000 0.500 1
Ag1 Ag 0.000 0.288 0.819 1
Ag2 Ag 0.000 0.712 0.181 1
Ag3 Ag 0.288 0.000 0.819 1
Ag4 Ag 0.288 0.288 0.181 1
Ag5 Ag 0.333 0.667 0.000 1
Ag6 Ag 0.333 0.667 0.500 1
Ag7 Ag 0.667 0.333 0.000 1
Ag8 Ag 0.667 0.333 0.500 1
Ag9 Ag 0.712 0.000 0.181 1
Ag10 Ag 0.712 0.712 0.819 1
```

Main lines, in order of rising 2θ (2θ = 15–90°):
26.70 deg, intensity 30, hkl 2 0 0; 28.06 deg, intensity 95, hkl 2 -1 1; 39.12 deg, intensity 25, hkl 3 -1 1; 39.68 deg, intensity 100, hkl 1 1 2; 40.53 deg, intensity 75, hkl 3 0 0; 58.01 deg, intensity 25, hkl 4 -2 2